Entry 1:
# Ba5Bi5O13
Simulated powder X-ray diffraction pattern, Cu Kα, 1.54184 Å. Input: a cell relaxed with GGA-PBE.
No peak broadening, texture or thermal motion is included.

Most intense lines, 10° ≤ 2θ ≤ 90°, by angle:
h k l  Position (°2θ)  I_rel
3 1 -1  28.05  100
1 1 -7  28.53  87
0 2 0  28.75  29
0 2 1  28.97  21
2 0 6  29.14  52
4 0 -8  39.45  29
2 2 6  41.40  27
6 0 -2  49.15  18
5 1 5  50.70  23
1 1 13  51.59  18

Crystal structure
```
data_Ba5Bi5O13
_cell_length_a 11.1265
_cell_length_b 6.2101
_cell_length_c 25.6154
_cell_angle_alpha 90.00
_cell_angle_beta 100.70
_cell_angle_gamma 90.00
_symmetry_space_group_name_H-M 'C 1 2 1'
_symmetry_Int_Tables_number 5
loop_
_symmetry_equiv_pos_as_xyz
'x,y,z'
'-x,y,-z'
'x+1/2,y+1/2,z'
'-x+1/2,y+1/2,-z'
loop_
_atom_site_label
_atom_site_type_symbol
_atom_site_fract_x
_atom_site_fract_y
_atom_site_fract_z
Ba1 Ba 0.0430 0.0000 0.1519
Ba2 Ba 0.0678 0.4281 0.6471
Ba3 Ba 0.1402 0.8912 0.4543
Ba4 Ba 0.1509 0.5767 0.9531
Ba5 Ba 0.2384 0.4648 0.2486
Bi1 Bi 0.0000 0.0781 0.0000
Bi2 Bi 0.0000 0.3994 0.5000
Bi3 Bi 0.0967 0.9749 0.3041
Bi4 Bi 0.1011 0.5037 0.7996
Bi5 Bi 0.2077 0.5542 0.1026
Bi6 Bi 0.2145 0.9173 0.6033
O1 O 0.0044 0.7692 0.2418
O2 O 0.0189 0.2908 0.2599
O3 O 0.0538 0.9519 0.6505
O4 O 0.0552 0.5246 0.1487
O5 O 0.1102 0.8340 0.0521
O6 O 0.1136 0.6496 0.5508
O7 O 0.1218 0.1216 0.5431
O8 O 0.1229 0.0960 0.9388
O9 O 0.1228 0.3884 0.4372
O10 O 0.1352 0.3402 0.0405
O11 O 0.1911 0.7922 0.8476
O12 O 0.2113 0.7282 0.3543
O13 O 0.2429 0.5238 0.7478
```

Entry 2:
# Ta4Co4Si7
Simulated powder X-ray diffraction pattern, Cu Kα, 1.54184 Å. Input: a cell relaxed with GGA-PBE.
No peak broadening, texture or thermal motion is included.

Most intense lines, 10° ≤ 2θ ≤ 90°, by angle:
h k l  Position (°2θ)  I_rel
3 0 1  27.86  18
3 2 1  31.36  31
4 1 1  34.54  24
0 0 2  36.07  14
5 0 1  40.24  100
4 4 0  40.68  17
3 1 2  42.88  41
6 0 0  43.27  20
5 0 3  67.68  22
7 3 2  68.26  20

Crystal structure
```
data_Ta4Co4Si7
_cell_length_a 12.5470
_cell_length_b 12.5470
_cell_length_c 4.9797
_cell_angle_alpha 90.00
_cell_angle_beta 90.00
_cell_angle_gamma 90.00
_symmetry_space_group_name_H-M 'I 4/m m m'
_symmetry_Int_Tables_number 139
_symmetry_space_group_name_Hall '-I 4 2'
loop_
_atom_site_label
_atom_site_type_symbol
_atom_site_fract_x
_atom_site_fract_y
_atom_site_fract_z
Ta1 Ta 0.0000 0.1899 0.0000
Ta2 Ta 0.1337 0.1337 0.5000
Co1 Co 0.1486 0.3514 0.2500
Si1 Si 0.0000 0.0000 0.2512
Si2 Si 0.0000 0.2965 0.5000
Si3 Si 0.0000 0.4054 0.0000
Si4 Si 0.2089 0.2089 0.0000
```

Entry 3:
# Ru3Pb3N5
Simulated powder X-ray diffraction pattern, Cu Kα, 1.54184 Å. Input: a cell relaxed with GGA-PBE.
No peak broadening, texture or thermal motion is included.

Most intense lines, 10° ≤ 2θ ≤ 90°, by angle:
h k l  Position (°2θ)  I_rel
0 2 -1  29.38  100
-1 1 2  30.19  54
1 2 2  30.50  94
2 -1 1  31.94  62
2 1 0  32.84  57
1 0 3  34.31  57
-1 3 1  38.75  32
3 1 3  50.18  45
2 -3 2  53.14  20
3 -1 4  60.98  22

Crystal structure
```
data_Ru3Pb3N5
_cell_length_a 6.2155
_cell_length_b 7.6313
_cell_length_c 8.2268
_cell_angle_alpha 75.65
_cell_angle_beta 75.90
_cell_angle_gamma 89.89
_symmetry_space_group_name_H-M 'P -1'
_symmetry_Int_Tables_number 2
loop_
_symmetry_equiv_pos_as_xyz
'x,y,z'
'-x,-y,-z'
loop_
_atom_site_label
_atom_site_type_symbol
_atom_site_fract_x
_atom_site_fract_y
_atom_site_fract_z
Ru1 Ru 0.0999 0.4303 0.2881
Ru2 Ru 0.1420 0.1878 0.9692
Ru3 Ru 0.3378 0.5437 0.6133
Pb1 Pb 0.2205 0.0430 0.5987
Pb2 Pb 0.3433 0.8329 0.2487
Pb3 Pb 0.3593 0.6759 0.9092
N1 N 0.0975 0.3730 0.7859
N2 N 0.1350 0.7468 0.5568
N3 N 0.1629 0.9428 0.9072
N4 N 0.2276 0.2802 0.1330
N5 N 0.3410 0.4710 0.3882
```

Entry 4:
# TbGeIr
Simulated powder X-ray diffraction pattern, Cu Kα, 1.54184 Å. Input: a cell relaxed with GGA-PBE.
No peak broadening, texture or thermal motion is included.

Most intense lines, 10° ≤ 2θ ≤ 90°, by angle:
h k l  Position (°2θ)  I_rel
1 1 1  26.88  31
1 1 2  33.87  89
2 0 2  34.99  36
2 1 1  35.10  100
3 0 1  40.72  49
0 1 3  41.23  68
0 2 0  41.52  57
4 0 2  58.45  22
3 2 1  59.56  32
3 1 4  67.26  45

Crystal structure
```
data_TbGeIr
_cell_length_a 6.9492
_cell_length_b 4.3497
_cell_length_c 7.6011
_cell_angle_alpha 90.00
_cell_angle_beta 90.00
_cell_angle_gamma 90.00
_symmetry_space_group_name_H-M 'P n m a'
_symmetry_Int_Tables_number 62
loop_
_symmetry_equiv_pos_as_xyz
'x,y,z'
'-x,-y,-z'
'-x+1/2,-y,z+1/2'
'x+1/2,y,-z+1/2'
'x+1/2,-y+1/2,-z+1/2'
'-x+1/2,y+1/2,z+1/2'
'-x,y+1/2,-z'
'x,-y+1/2,z'
loop_
_atom_site_label
_atom_site_type_symbol
_atom_site_fract_x
_atom_site_fract_y
_atom_site_fract_z
Tb1 Tb 0.9996 0.2500 0.1926
Ge1 Ge 0.2061 0.2500 0.6069
Ir1 Ir 0.1615 0.7500 0.4312
```

Entry 5:
# Mg2Si
Simulated powder X-ray diffraction pattern, Cu Kα, 1.54184 Å. Input: a cell relaxed with GGA-PBE.
No peak broadening, texture or thermal motion is included.

Most intense lines, 10° ≤ 2θ ≤ 90°, by angle:
h k l  Position (°2θ)  I_rel
1 0 0  17.90  21
1 2 -1  33.10  43
1 1 -2  33.89  37
1 1 2  34.77  60
0 2 2  36.25  100
2 1 0  38.41  19
2 1 -1  40.34  35
1 3 0  41.52  68
0 1 3  41.83  26
2 1 -3  55.65  20

Crystal structure
```
data_Mg2Si
_cell_length_a 4.9547
_cell_length_b 7.2634
_cell_length_c 6.7888
_cell_angle_alpha 90.00
_cell_angle_beta 91.75
_cell_angle_gamma 90.00
_symmetry_space_group_name_H-M 'P 1 21/c 1'
_symmetry_Int_Tables_number 14
loop_
_symmetry_equiv_pos_as_xyz
'x,y,z'
'-x,-y,-z'
'-x,y+1/2,-z+1/2'
'x,-y+1/2,z+1/2'
loop_
_atom_site_label
_atom_site_type_symbol
_atom_site_fract_x
_atom_site_fract_y
_atom_site_fract_z
Mg1 Mg 0.1581 0.2137 0.0012
Mg2 Mg 0.3202 0.5997 0.1926
Si1 Si 0.1988 0.5521 0.7795
```

Entry 6:
# UH2O4
Simulated powder X-ray diffraction pattern, Cu Kα, 1.54184 Å. Input: a cell relaxed with GGA-PBE.
No peak broadening, texture or thermal motion is included.

Most intense lines, 10° ≤ 2θ ≤ 90°, by angle:
h k l  Position (°2θ)  I_rel
0 0 2  17.95  40
1 1 1  22.69  100
0 2 0  28.93  13
0 2 2  34.26  13
1 1 3  34.38  27
2 0 2  35.38  14
2 2 2  46.33  16
1 3 1  47.70  15
3 1 1  49.42  12
1 1 5  50.90  12

Crystal structure
```
data_UH2O4
_cell_length_a 5.9119
_cell_length_b 6.1716
_cell_length_c 9.8850
_cell_angle_alpha 90.00
_cell_angle_beta 90.00
_cell_angle_gamma 90.00
_symmetry_space_group_name_H-M 'P b c a'
_symmetry_Int_Tables_number 61
loop_
_symmetry_equiv_pos_as_xyz
'x,y,z'
'-x,-y,-z'
'-x+1/2,-y,z+1/2'
'x+1/2,y,-z+1/2'
'x+1/2,-y+1/2,-z'
'-x+1/2,y+1/2,z'
'-x,y+1/2,-z+1/2'
'x,-y+1/2,z+1/2'
loop_
_atom_site_label
_atom_site_type_symbol
_atom_site_fract_x
_atom_site_fract_y
_atom_site_fract_z
U1 U 0.0000 0.0000 0.0000
H1 H 0.1634 0.1630 0.3273
O1 O 0.1291 0.0334 0.1669
O2 O 0.1919 0.2026 0.4234
```

Entry 7:
# TiTl2F6
Simulated powder X-ray diffraction pattern, Cu Kα, 1.54184 Å. Input: a cell relaxed with GGA-PBE.
No peak broadening, texture or thermal motion is included.

Most intense lines, 10° ≤ 2θ ≤ 90°, by angle:
h k l  Position (°2θ)  I_rel
1 0 0  16.95  14
1 0 1  24.76  100
1 1 0  29.58  52
0 2 1  38.95  55
0 1 2  40.30  24
2 1 1  49.66  28
2 0 2  50.78  14
1 2 2  59.87  18
1 1 3  64.32  13
1 3 1  67.25  14

Crystal structure
```
data_TiTl2F6
_cell_length_a 6.0394
_cell_length_b 6.0394
_cell_length_c 4.9517
_cell_angle_alpha 90.00
_cell_angle_beta 90.00
_cell_angle_gamma 120.00
_symmetry_space_group_name_H-M 'P -3 m 1'
_symmetry_Int_Tables_number 164
_symmetry_space_group_name_Hall '-P 3 2"'
loop_
_atom_site_label
_atom_site_type_symbol
_atom_site_fract_x
_atom_site_fract_y
_atom_site_fract_z
Ti1 Ti 0.0000 0.0000 0.0000
Tl1 Tl 0.3333 0.6667 0.6891
F1 F 0.1502 0.3004 0.2155
```

Entry 8:
# NaMg6Ni
Simulated powder X-ray diffraction pattern, Cu Kα, 1.54184 Å. Input: a cell relaxed with GGA-PBE.
No peak broadening, texture or thermal motion is included.

Most intense lines, 10° ≤ 2θ ≤ 90°, by angle:
h k l  Position (°2θ)  I_rel
0 1 1  16.24  21
0 2 2  32.81  25
0 0 4  33.34  13
2 0 0  36.16  37
1 2 2  37.60  100
1 0 4  38.07  47
2 2 2  49.62  15
0 2 6  59.25  16
3 2 2  65.98  17
2 2 6  71.42  17

Crystal structure
```
data_NaMg6Ni
_cell_length_a 4.9679
_cell_length_b 6.3367
_cell_length_c 10.7504
_cell_angle_alpha 90.00
_cell_angle_beta 90.00
_cell_angle_gamma 90.00
_symmetry_space_group_name_H-M 'A m m 2'
_symmetry_Int_Tables_number 38
loop_
_symmetry_equiv_pos_as_xyz
'x,y,z'
'-x,-y,z'
'-x,y,z'
'x,-y,z'
'x,y+1/2,z+1/2'
'-x,-y+1/2,z+1/2'
'-x,y+1/2,z+1/2'
'x,-y+1/2,z+1/2'
loop_
_atom_site_label
_atom_site_type_symbol
_atom_site_fract_x
_atom_site_fract_y
_atom_site_fract_z
Na1 Na 0.0000 0.0000 0.0000
Mg1 Mg 0.0000 0.2492 0.7494
Mg2 Mg 0.5000 0.0000 0.3399
Mg3 Mg 0.5000 0.0000 0.8295
Mg4 Mg 0.5000 0.2323 0.5777
Ni1 Ni 0.0000 0.0000 0.4996
```

Entry 9:
# Fe7Ni5P4
Simulated powder X-ray diffraction pattern, Cu Kα, 1.54184 Å. Input: a cell relaxed with GGA-PBE.
No peak broadening, texture or thermal motion is included.

Most intense lines, 10° ≤ 2θ ≤ 90°, by angle:
h k l  Position (°2θ)  I_rel
1 -2 1  41.40  100
1 1 3  41.76  65
1 3 0  41.86  62
0 3 0  42.62  71
2 1 0  43.45  67
2 2 1  43.76  69
0 1 3  45.05  93
-1 2 1  46.13  59
1 2 -2  46.46  93
0 2 -3  51.79  55

Crystal structure
```
data_Fe7Ni5P4
_cell_length_a 4.3922
_cell_length_b 6.7030
_cell_length_c 6.7182
_cell_angle_alpha 84.18
_cell_angle_beta 71.41
_cell_angle_gamma 71.61
_symmetry_space_group_name_H-M 'P 1'
_symmetry_Int_Tables_number 1
loop_
_symmetry_equiv_pos_as_xyz
'x,y,z'
loop_
_atom_site_label
_atom_site_type_symbol
_atom_site_fract_x
_atom_site_fract_y
_atom_site_fract_z
Fe1 Fe 0.0000 0.0000 0.0000
Fe2 Fe 0.0370 0.8537 0.6382
Fe3 Fe 0.3565 0.1532 0.2157
Fe4 Fe 0.5045 0.2153 0.8466
Fe5 Fe 0.6080 0.5804 0.7013
Fe6 Fe 0.6702 0.7908 0.3627
Fe7 Fe 0.7838 0.3684 0.0579
Ni1 Ni 0.0805 0.2342 0.6407
Ni2 Ni 0.1875 0.5751 0.0821
Ni3 Ni 0.3190 0.5165 0.4258
Ni4 Ni 0.6238 0.7947 0.9860
Ni5 Ni 0.7412 0.1393 0.4217
P1 P 0.0973 0.5251 0.7879
P2 P 0.1858 0.8499 0.2782
P3 P 0.4664 0.9391 0.6904
P4 P 0.8869 0.4297 0.3686
```

Entry 10:
# AcOF
Simulated powder X-ray diffraction pattern, Cu Kα, 1.54184 Å. Input: a cell relaxed with GGA-PBE.
No peak broadening, texture or thermal motion is included.

Most intense lines, 10° ≤ 2θ ≤ 90°, by angle:
h k l  Position (°2θ)  I_rel
1 1 1  25.82  100
2 0 0  29.90  36
2 2 0  42.80  54
3 1 1  50.66  50
2 2 2  53.09  11
4 0 0  62.13  9
3 3 1  68.43  21
4 2 0  70.47  15
4 2 2  78.40  18
5 1 1  84.19  16

Crystal structure
```
data_AcOF
_cell_length_a 5.9758
_cell_length_b 5.9758
_cell_length_c 5.9758
_cell_angle_alpha 90.00
_cell_angle_beta 90.00
_cell_angle_gamma 90.00
_symmetry_space_group_name_H-M 'F -4 3 m'
_symmetry_Int_Tables_number 216
_symmetry_space_group_name_Hall 'F -4 2 3'
loop_
_atom_site_label
_atom_site_type_symbol
_atom_site_fract_x
_atom_site_fract_y
_atom_site_fract_z
Ac1 Ac 0.0000 0.0000 0.0000
O1 O 0.2500 0.2500 0.7500
F1 F 0.2500 0.2500 0.2500
```

Entry 11:
# NpGe2Pd2
Simulated powder X-ray diffraction pattern, Cu Kα, 1.54184 Å. Input: a cell relaxed with GGA-PBE.
No peak broadening, texture or thermal motion is included.

Most intense lines, 10° ≤ 2θ ≤ 90°, by angle:
h k l  Position (°2θ)  I_rel
1 0 1  22.77  18
1 0 3  33.19  52
1 1 2  34.63  100
2 0 0  43.04  45
1 0 5  48.20  24
2 1 3  55.41  25
1 1 6  61.17  14
2 2 0  62.50  15
2 1 5  66.58  19
3 1 2  73.47  23

Crystal structure
```
data_NpGe2Pd2
_cell_length_a 4.2030
_cell_length_b 4.2030
_cell_length_c 10.5665
_cell_angle_alpha 90.00
_cell_angle_beta 90.00
_cell_angle_gamma 90.00
_symmetry_space_group_name_H-M 'I 4/m m m'
_symmetry_Int_Tables_number 139
_symmetry_space_group_name_Hall '-I 4 2'
loop_
_atom_site_label
_atom_site_type_symbol
_atom_site_fract_x
_atom_site_fract_y
_atom_site_fract_z
Np1 Np 0.0000 0.0000 0.0000
Ge1 Ge 0.0000 0.0000 0.3841
Pd1 Pd 0.0000 0.5000 0.2500
```